Calculated XRD peak list of Ce2PrHoSb5 for Cu Kα X-rays, from the GGA-PBE geometry in Alexandria.
Lines closer than 0.1° are merged.

Principal peaks in the range 5 to 70 degrees two-theta, by intensity:
2theta  d (Å)  I (rel.)  h k l
33.9  2.644  100.0  2 0 0
23.8  3.739  87.2  1 1 0
46.2  1.966  69.2  2 0 4
30.4  2.942  55.3  0 0 4
7.5  11.766  48.7  0 0 1
28.3  3.153  43.4  1 1 2

Cell and atoms:
```
data_Ce2PrHoSb5
_chemical_formula_sum 'Ce2 Pr1 Ho1 Sb5'
_cell_length_a 5.2871
_cell_length_b 5.2871
_cell_length_c 11.7664
_cell_angle_alpha 90.00
_cell_angle_beta 90.00
_cell_angle_gamma 90.00
_space_group_name_H-M_alt 'P 4/m m m'
_space_group_IT_number 123
_space_group_name_Hall '-P 4 2'
loop_
_atom_site_label
_atom_site_type_symbol
_atom_site_fract_x
_atom_site_fract_y
_atom_site_fract_z
_atom_site_occupancy
Ce1 Ce 0.0000 0.0000 0.2137 1
Pr1 Pr 0.5000 0.5000 0.5000 1
Ho1 Ho 0.5000 0.5000 0.0000 1
Sb1 Sb 0.0000 0.0000 0.5000 1
Sb2 Sb 0.0000 0.5000 0.0000 1
Sb3 Sb 0.5000 0.5000 0.2478 1
```